For Sc3TeCl7, the GGA-PBE geometry in Alexandria gives the simulated PXRD pattern in this record (λ = 1.5418 Å (Cu Kα)).
Lines closer than 0.1° are merged.

Main lines, low angle first (2θ = 10–90°):
two_theta	Rel. int.
12.9	100
13.5	29
14.9	22
15.0	55
29.8	44
30.0	25
30.3	89
37.2	24
38.2	40
48.0	68

Atomic structure:
```
data_Sc3TeCl7
_cell_length_a 13.150
_cell_length_b 7.585
_cell_length_c 9.370
_cell_angle_alpha 90.00
_cell_angle_beta 132.75
_cell_angle_gamma 90.00
_symmetry_space_group_name_H-M 'C 1 m 1'
_symmetry_Int_Tables_number 8
_symmetry_space_group_name_Hall 'C -2y'
loop_
_atom_site_label
_atom_site_fract_x
_atom_site_fract_y
_atom_site_fract_z
_atom_site_occupancy
Sc1 0.000 0.000 0.000 1
Sc2 0.245 0.245 0.999 1
Te1 0.294 0.000 0.271 1
Cl1 0.219 0.000 0.796 1
Cl2 0.226 0.500 0.783 1
Cl3 0.264 0.500 0.186 1
Cl4 0.488 0.268 0.798 1
Cl5 0.499 0.265 0.187 1
```